For BaAcZnAg, a PBE-relaxed structure gives the simulated powder diffraction line list in this record (Cu Ka).

Most intense lines, 15 to 90 degrees two-theta, most intense first:
- 2θ = 31.4°, d 2.847, rel. 100
- 2θ = 55.9°, d 1.644, rel. 37
- 2θ = 45.0°, d 2.013, rel. 18
- 2θ = 74.5°, d 1.273, rel. 15
- 2θ = 22.1°, d 4.027, rel. 12
- 2θ = 65.6°, d 1.424, rel. 11
- 2θ = 50.7°, d 1.801, rel. 7
- 2θ = 38.7°, d 2.325, rel. 4
- 2θ = 70.1°, d 1.342, rel. 4
- 2θ = 40.4°, d 2.233, rel. 4

Structural model:
Unit cell a=4.028 b=4.028 c=8.050 alpha=90.00 beta=90.00 gamma=90.00
Space group P4mm (No. 99)
Unique sites:
Ba: 0.000 0.000 0.000 x1
Ac: 0.000 0.000 0.495 x1
Zn: 0.500 0.500 0.273 x1
Ag: 0.500 0.500 0.719 x1